# 1
Calculated powder diffraction line list
Compound: Hf6ZrPb3
Radiation: Cu Kα
Structure: DFT lattice parameters and positions (GGA-PBE)

Peak list (8 most intense, 10 to 90 degrees two-theta, by angle)
index	d (Å)	I/Imax
4 0 0	2.750	27
0 4 1	2.688	46
1 3 2	2.625	38
3 1 2	2.575	100
3 3 1	2.500	54
4 2 0	2.477	34
2 4 1	2.414	25
0 2 3	2.327	34

Crystal structure
abc: 10.981 11.489 7.635
angles: 90.00 90.00 90.00
Space group Cmc2_1 (No. 36)
Symmetry-distinct sites (fractional):
Hf  0.000  0.121  0.000 [4 per cell]
Hf  0.000  0.205  0.536 [4 per cell]
Hf  0.144  0.436  0.542 [8 per cell]
Hf  0.239  0.208  0.723 [8 per cell]
Zr  0.000  0.349  0.843 [4 per cell]
Pb  0.000  0.371  0.225 [4 per cell]
Pb  0.169  0.054  0.325 [8 per cell]

***

# 2
Calculated powder diffraction line list
Compound: SiF
Radiation: Cu Kα
Structure: DFT lattice parameters and positions (GGA-PBE)

Peak list (8 most intense, 10 to 90 degrees two-theta, by angle)
index	d (Å)	I/Imax
2 0 0	6.035	82
1 0 1	5.917	29
2 1 0	3.280	100
1 0 2	3.266	57
2 1 1	2.953	77
1 1 2	2.506	21
0 2 0	1.953	30
5 1 2	1.757	20

Crystal structure
abc: 12.070 3.907 6.788
angles: 90.00 90.00 90.00
Space group Pnma (No. 62)
Symmetry-distinct sites (fractional):
Si  0.013  0.250  0.201 [4 per cell]
Si  0.088  0.250  0.869 [4 per cell]
F  0.088  0.250  0.400 [4 per cell]
F  0.220  0.250  0.822 [4 per cell]